[1]
Diffraction record for CuIr2S4. The powder diffraction line list is theoretical, not measured: it uses the PBE geometry in the Materials Project and Cu Kα X-rays.
Peak positions follow from Bragg's law for the DFT cell and can differ from measured ones.

Structural model:
Lattice parameters (Å, degrees): 9.920 9.920 9.920 90.00 90.00 90.00
Space group Fd-3m (No. 227, origin choice 2)
Symmetry-distinct sites (fractional):
Cu: 0.125 0.125 0.125 x8
Ir: 0.000 0.000 0.500 x16
S: 0.010 0.010 0.740 x32

Peak list (8 most intense, 5° ≤ 2θ ≤ 70°, low angle first)
| 2theta | intensity |
| --- | --- |
| 15.5 | 68 |
| 29.9 | 100 |
| 31.2 | 33 |
| 36.2 | 52 |
| 47.6 | 43 |
| 52.2 | 62 |
| 54.7 | 16 |
| 62.1 | 17 |


[2]
Diffraction record for NdGaSi. The powder diffraction line list is theoretical, not measured: it uses the PBE geometry in the Materials Project and Cu Kα X-rays.
Peak positions follow from Bragg's law for the DFT cell and can differ from measured ones.

Structural model:
```
data_NdGaSi
_chemical_formula_sum 'Nd4 Ga4 Si4'
_space_group_name_H-M_alt 'I 41 m d'
_space_group_IT_number 109
_space_group_name_Hall 'I 4bw -2'
_cell_length_a 4.219
_cell_length_b 4.219
_cell_length_c 14.342
_cell_angle_alpha 90.00
_cell_angle_beta 90.00
_cell_angle_gamma 90.00
loop_
_atom_site_label
_atom_site_type_symbol
_atom_site_fract_x
_atom_site_fract_y
_atom_site_fract_z
Nd1 Nd 0.000 0.000 0.000
Ga1 Ga 0.000 0.000 0.416
Si1 Si 0.000 0.000 0.584
```

Peak list (8 most intense, 5° ≤ 2θ ≤ 70°, low angle first)
| 2theta | intensity |
| --- | --- |
| 28.2 | 42 |
| 32.5 | 100 |
| 37.9 | 45 |
| 42.9 | 35 |
| 49.5 | 21 |
| 58.6 | 25 |
| 62.3 | 16 |
| 67.5 | 16 |